# 1
Diffraction record for NiPt2Se6. The X-ray diffraction stick pattern is theoretical, not measured: it uses a crystal structure in Alexandria, relaxed with PBE and Cu Kα (weighted mean of Kα1 and Kα2).
No peak broadening, texture or thermal motion is included.

The 10 most intense peaks (10° ≤ 2θ ≤ 90°), sorted by position:
2θ = 13.95°, I = 100
2θ = 28.35°, I = 18
2θ = 33.62°, I = 27
2θ = 33.86°, I = 55
2θ = 43.46°, I = 10
2θ = 43.81°, I = 18
2θ = 47.51°, I = 16
2θ = 49.40°, I = 30
2θ = 60.70°, I = 10
2θ = 61.10°, I = 14

Structure:
```
NiPt2Se6
1.0
6.428 -1.845 0.000
6.428 1.845 0.000
-4.935 0.000 9.469
Ni Pt Se
1 2 6
direct
0.000 0.000 0.000
0.336 0.336 0.670
0.664 0.664 0.330
0.014 0.014 0.233
0.315 0.315 0.422
0.362 0.362 0.919
0.638 0.638 0.081
0.685 0.685 0.578
0.986 0.986 0.767
```

=====

# 2
Diffraction record for Ba8Sr2Ca3. The X-ray diffraction stick pattern is theoretical, not measured: it uses a crystal structure in Alexandria, relaxed with PBE and Cu Kα (weighted mean of Kα1 and Kα2).
No peak broadening, texture or thermal motion is included.

The 10 most intense peaks (10° ≤ 2θ ≤ 90°), sorted by position:
2θ = 15.74°, I = 15
2θ = 19.35°, I = 16
2θ = 21.78°, I = 28
2θ = 25.13°, I = 58
2θ = 25.47°, I = 41
2θ = 26.97°, I = 100
2θ = 45.25°, I = 14
2θ = 45.83°, I = 20
2θ = 51.49°, I = 18
2θ = 52.62°, I = 19

Structure:
```
Ba8Sr2Ca3
1.0
11.261 -5.024 0.000
11.261 5.024 0.000
-0.004 0.000 6.994
Ba Sr Ca
8 2 3
direct
0.097 0.707 0.000
0.174 0.174 0.500
0.293 0.903 0.000
0.386 0.386 0.500
0.614 0.614 0.500
0.707 0.097 0.000
0.826 0.826 0.500
0.903 0.293 0.000
0.273 0.273 0.000
0.727 0.727 0.000
0.183 0.817 0.500
0.500 0.500 0.000
0.817 0.183 0.500
```